# 1
Theoretical powder diffraction line list of LiNd2GeO6 for copper Kα, from a PBE-relaxed structure.
Kinematic intensities with the Lorentz-polarization factor, no thermal factor.

Principal peaks in the range 2θ = 5–70°, in order of rising 2θ:
Position (°2θ)	I/Imax
22.5	637
23.1	411
32.3	1000
32.8	980
33.0	516
47.3	488

```
20
Lattice="5.4322 0.0000 0.0000 0.0000 5.7423 0.0000 -5.2577 0.0000 7.6847" Properties=species:S:1:pos:R:3 pbc="T T T"
Li 0.0000 0.0000 0.0000
Li -2.6289 2.8712 3.8423
Nd -2.6879 0.3856 5.7476
Nd -0.0590 2.4856 1.9053
Nd 0.2335 3.2567 5.7794
Nd 2.8623 5.3568 1.9371
Ge 0.0872 0.0000 3.8423
Ge 2.7161 2.8712 0.0000
O -1.4718 1.0682 3.5073
O -4.1007 1.8030 7.3497
O -0.9222 4.1361 3.4618
O -3.5510 4.4773 7.3041
O 0.5359 0.1451 2.0008
O -2.0929 2.7261 5.8432
O 2.2674 3.0162 1.8415
O -0.3615 5.5972 5.6838
O 3.7255 1.2650 0.3806
O 1.0966 1.6062 4.2229
O 4.2751 3.9393 0.3350
O 1.6463 4.6742 4.1774
```

# 2
Theoretical powder diffraction line list of Sm2BeCuPd6 for copper Kα, from a PBE-relaxed structure.
Kinematic intensities with the Lorentz-polarization factor, no thermal factor.

Principal peaks in the range 2θ = 5–70°, in order of rising 2θ:
Position (°2θ)	I/Imax
29.4	454
33.3	365
38.5	1000
40.1	693
40.4	297
42.1	472

```
10
Lattice="5.4237 -2.7837 0.0000 5.4237 2.7837 0.0000 -4.6883 0.0000 6.0798" Properties=species:S:1:pos:R:3 pbc="T T T"
Sm 1.5022 0.0000 1.2008
Sm 4.6569 0.0000 4.8790
Be -2.3441 0.0000 3.0399
Cu 5.4237 0.0000 0.0000
Pd 4.0423 1.3891 1.6044
Pd -0.2101 0.0000 3.7431
Pd 2.1168 1.3891 4.4754
Pd 4.0423 -1.3891 1.6044
Pd 6.3692 0.0000 2.3367
Pd 2.1168 -1.3891 4.4754
```